(1)
Calculated powder X-ray diffraction pattern of ThFe3 for CuKα, from a structure optimized by DFT (GGA-PBE).

Principal peaks in the range 2θ = 15–90°, by angle:
2θ = 27.00°, rel. 77; 2θ = 30.07°, rel. 38; 2θ = 34.86°, rel. 25; 2θ = 40.85°, rel. 100; 2θ = 41.97°, rel. 24; 2θ = 46.69°, rel. 17; 2θ = 51.55°, rel. 13; 2θ = 52.49°, rel. 17; 2θ = 62.50°, rel. 14; 2θ = 69.35°, rel. 21; 2θ = 75.91°, rel. 16; 2θ = 78.16°, rel. 14

Structural model:
```
data_ThFe3
_cell_length_a 5.944
_cell_length_b 5.944
_cell_length_c 4.305
_cell_angle_alpha 90.00
_cell_angle_beta 90.00
_cell_angle_gamma 120.00
_symmetry_space_group_name_H-M 'P 1'
_symmetry_Int_Tables_number 1
loop_
_symmetry_equiv_pos_as_xyz
'x,y,z'
loop_
_atom_site_label
_atom_site_type_symbol
_atom_site_fract_x
_atom_site_fract_y
_atom_site_fract_z
_atom_site_occupancy
Th1 Th 0.333 0.667 0.250 1
Th2 Th 0.667 0.333 0.750 1
Fe1 Fe 0.133 0.266 0.750 1
Fe2 Fe 0.133 0.867 0.750 1
Fe3 Fe 0.266 0.133 0.250 1
Fe4 Fe 0.734 0.867 0.750 1
Fe5 Fe 0.867 0.133 0.250 1
Fe6 Fe 0.867 0.734 0.250 1
```



(2)
Calculated powder X-ray diffraction pattern of Th3Fe for CuKα, from a structure optimized by DFT (GGA-PBE).

Principal peaks in the range 2θ = 15–90°, by angle:
2θ = 18.01°, rel. 5; 2θ = 20.98°, rel. 14; 2θ = 32.56°, rel. 100; 2θ = 33.31°, rel. 5; 2θ = 36.49°, rel. 18; 2θ = 38.40°, rel. 32; 2θ = 54.01°, rel. 24; 2θ = 55.43°, rel. 11; 2θ = 63.20°, rel. 15; 2θ = 65.78°, rel. 27; 2θ = 68.20°, rel. 12; 2θ = 88.95°, rel. 13

Structural model:
```
data_Th3Fe
_cell_length_a 5.937
_cell_length_b 5.937
_cell_length_c 5.937
_cell_angle_alpha 133.49
_cell_angle_beta 133.49
_cell_angle_gamma 67.89
_symmetry_space_group_name_H-M 'P 1'
_symmetry_Int_Tables_number 1
loop_
_symmetry_equiv_pos_as_xyz
'x,y,z'
loop_
_atom_site_label
_atom_site_type_symbol
_atom_site_fract_x
_atom_site_fract_y
_atom_site_fract_z
_atom_site_occupancy
Th1 Th 0.000 0.000 0.000 1
Th2 Th 0.250 0.750 0.500 1
Th3 Th 0.750 0.250 0.500 1
Fe1 Fe 0.500 0.500 0.000 1
```



(3)
Calculated powder X-ray diffraction pattern of TmFe12 for CuKα, from a structure optimized by DFT (GGA-PBE).

Principal peaks in the range 2θ = 15–90°, by angle:
2θ = 30.88°, rel. 41; 2θ = 34.12°, rel. 16; 2θ = 37.87°, rel. 48; 2θ = 39.00°, rel. 17; 2θ = 43.57°, rel. 58; 2θ = 43.90°, rel. 100; 2θ = 44.90°, rel. 69; 2θ = 50.25°, rel. 21; 2θ = 64.35°, rel. 12; 2θ = 74.05°, rel. 20; 2θ = 80.23°, rel. 19; 2θ = 80.94°, rel. 17

Structural model:
```
data_TmFe12
_cell_length_a 6.313
_cell_length_b 6.313
_cell_length_c 6.313
_cell_angle_alpha 97.69
_cell_angle_beta 97.69
_cell_angle_gamma 137.08
_symmetry_space_group_name_H-M 'P 1'
_symmetry_Int_Tables_number 1
loop_
_symmetry_equiv_pos_as_xyz
'x,y,z'
loop_
_atom_site_label
_atom_site_type_symbol
_atom_site_fract_x
_atom_site_fract_y
_atom_site_fract_z
_atom_site_occupancy
Tm1 Tm 0.000 0.000 0.000 1
Fe1 Fe 0.000 0.000 0.500 1
Fe2 Fe 0.000 0.359 0.359 1
Fe3 Fe 0.000 0.500 0.000 1
Fe4 Fe 0.000 0.641 0.641 1
Fe5 Fe 0.275 0.500 0.775 1
Fe6 Fe 0.359 0.000 0.359 1
Fe7 Fe 0.500 0.000 0.000 1
Fe8 Fe 0.500 0.275 0.775 1
Fe9 Fe 0.500 0.500 0.500 1
Fe10 Fe 0.500 0.725 0.225 1
Fe11 Fe 0.641 0.000 0.641 1
Fe12 Fe 0.725 0.500 0.225 1
```



(4)
Calculated powder X-ray diffraction pattern of YTmFe2 for CuKα, from a structure optimized by DFT (GGA-PBE).

Principal peaks in the range 2θ = 15–90°, by angle:
2θ = 23.42°, rel. 16; 2θ = 29.38°, rel. 35; 2θ = 33.38°, rel. 100; 2θ = 34.30°, rel. 66; 2θ = 35.24°, rel. 15; 2θ = 41.98°, rel. 42; 2θ = 42.78°, rel. 24; 2θ = 44.20°, rel. 26; 2θ = 48.01°, rel. 20; 2θ = 53.97°, rel. 15; 2θ = 60.32°, rel. 25; 2θ = 67.30°, rel. 14

Structural model:
```
data_YTmFe2
_cell_length_a 3.790
_cell_length_b 5.490
_cell_length_c 5.490
_cell_angle_alpha 43.83
_cell_angle_beta 90.00
_cell_angle_gamma 90.00
_symmetry_space_group_name_H-M 'P 1'
_symmetry_Int_Tables_number 1
loop_
_symmetry_equiv_pos_as_xyz
'x,y,z'
loop_
_atom_site_label
_atom_site_type_symbol
_atom_site_fract_x
_atom_site_fract_y
_atom_site_fract_z
_atom_site_occupancy
Y1 Y 0.000 0.000 0.000 1
Tm1 Tm 0.500 0.289 0.289 1
Fe1 Fe 0.000 0.704 0.704 1
Fe2 Fe 0.500 0.594 0.594 1
```



(5)
Calculated powder X-ray diffraction pattern of Y3Fe29 for CuKα, from a structure optimized by DFT (GGA-PBE).

Principal peaks in the range 2θ = 15–90°, by angle:
2θ = 30.51°, rel. 14; 2θ = 37.18°, rel. 28; 2θ = 37.75°, rel. 17; 2θ = 40.25°, rel. 19; 2θ = 42.98°, rel. 35; 2θ = 43.33°, rel. 72; 2θ = 43.69°, rel. 100; 2θ = 43.77°, rel. 32; 2θ = 43.89°, rel. 22; 2θ = 48.52°, rel. 18; 2θ = 49.13°, rel. 55; 2θ = 79.23°, rel. 15

Structural model:
```
data_Y3Fe29
_cell_length_a 6.372
_cell_length_b 6.372
_cell_length_c 10.382
_cell_angle_alpha 94.89
_cell_angle_beta 94.89
_cell_angle_gamma 82.70
_symmetry_space_group_name_H-M 'P 1'
_symmetry_Int_Tables_number 1
loop_
_symmetry_equiv_pos_as_xyz
'x,y,z'
loop_
_atom_site_label
_atom_site_type_symbol
_atom_site_fract_x
_atom_site_fract_y
_atom_site_fract_z
_atom_site_occupancy
Y1 Y 0.000 0.000 0.000 1
Y2 Y 0.186 0.186 0.598 1
Y3 Y 0.814 0.814 0.402 1
Fe1 Fe 0.000 0.500 0.000 1
Fe2 Fe 0.093 0.093 0.292 1
Fe3 Fe 0.097 0.592 0.802 1
Fe4 Fe 0.129 0.690 0.198 1
Fe5 Fe 0.165 0.462 0.379 1
Fe6 Fe 0.187 0.686 0.595 1
Fe7 Fe 0.277 0.277 0.892 1
Fe8 Fe 0.291 0.291 0.141 1
Fe9 Fe 0.310 0.871 0.802 1
Fe10 Fe 0.314 0.813 0.405 1
Fe11 Fe 0.359 0.641 0.000 1
Fe12 Fe 0.408 0.903 0.198 1
Fe13 Fe 0.462 0.165 0.379 1
Fe14 Fe 0.479 0.479 0.746 1
Fe15 Fe 0.500 0.000 0.000 1
Fe16 Fe 0.500 0.500 0.500 1
Fe17 Fe 0.521 0.521 0.254 1
Fe18 Fe 0.538 0.835 0.621 1
Fe19 Fe 0.592 0.097 0.802 1
Fe20 Fe 0.641 0.359 0.000 1
Fe21 Fe 0.686 0.187 0.595 1
Fe22 Fe 0.690 0.129 0.198 1
Fe23 Fe 0.709 0.709 0.859 1
Fe24 Fe 0.723 0.723 0.108 1
Fe25 Fe 0.813 0.314 0.405 1
Fe26 Fe 0.835 0.538 0.621 1
Fe27 Fe 0.871 0.310 0.802 1
Fe28 Fe 0.903 0.408 0.198 1
Fe29 Fe 0.907 0.907 0.708 1
```



(6)
Calculated powder X-ray diffraction pattern of Y6Fe23 for CuKα, from a structure optimized by DFT (GGA-PBE).

Principal peaks in the range 2θ = 15–90°, by angle:
2θ = 32.68°, rel. 12; 2θ = 36.86°, rel. 21; 2θ = 39.19°, rel. 65; 2θ = 42.83°, rel. 100; 2θ = 44.89°, rel. 18; 2θ = 45.57°, rel. 12; 2θ = 50.08°, rel. 9; 2θ = 63.78°, rel. 11; 2θ = 66.41°, rel. 16; 2θ = 67.96°, rel. 9; 2θ = 78.45°, rel. 15; 2θ = 79.91°, rel. 14

Structural model:
```
data_Y6Fe23
_cell_length_a 8.446
_cell_length_b 8.446
_cell_length_c 8.446
_cell_angle_alpha 60.00
_cell_angle_beta 60.00
_cell_angle_gamma 60.00
_symmetry_space_group_name_H-M 'P 1'
_symmetry_Int_Tables_number 1
loop_
_symmetry_equiv_pos_as_xyz
'x,y,z'
loop_
_atom_site_label
_atom_site_type_symbol
_atom_site_fract_x
_atom_site_fract_y
_atom_site_fract_z
_atom_site_occupancy
Y1 Y 0.208 0.208 0.792 1
Y2 Y 0.208 0.792 0.208 1
Y3 Y 0.208 0.792 0.792 1
Y4 Y 0.792 0.208 0.208 1
Y5 Y 0.792 0.208 0.792 1
Y6 Y 0.792 0.792 0.208 1
Fe1 Fe 0.000 0.000 0.500 1
Fe2 Fe 0.000 0.500 0.000 1
Fe3 Fe 0.000 0.500 0.500 1
Fe4 Fe 0.135 0.622 0.622 1
Fe5 Fe 0.176 0.176 0.176 1
Fe6 Fe 0.176 0.176 0.473 1
Fe7 Fe 0.176 0.473 0.176 1
Fe8 Fe 0.378 0.378 0.378 1
Fe9 Fe 0.378 0.378 0.865 1
Fe10 Fe 0.378 0.865 0.378 1
Fe11 Fe 0.473 0.176 0.176 1
Fe12 Fe 0.500 0.000 0.000 1
Fe13 Fe 0.500 0.000 0.500 1
Fe14 Fe 0.500 0.500 0.000 1
Fe15 Fe 0.500 0.500 0.500 1
Fe16 Fe 0.527 0.824 0.824 1
Fe17 Fe 0.622 0.135 0.622 1
Fe18 Fe 0.622 0.622 0.135 1
Fe19 Fe 0.622 0.622 0.622 1
Fe20 Fe 0.824 0.527 0.824 1
Fe21 Fe 0.824 0.824 0.527 1
Fe22 Fe 0.824 0.824 0.824 1
Fe23 Fe 0.865 0.378 0.378 1
```



(7)
Calculated powder X-ray diffraction pattern of Zn2Fe for CuKα, from a structure optimized by DFT (GGA-PBE).

Principal peaks in the range 2θ = 15–90°, by angle:
2θ = 39.34°, rel. 25; 2θ = 42.38°, rel. 27; 2θ = 44.92°, rel. 100; 2θ = 59.20°, rel. 14; 2θ = 71.26°, rel. 5; 2θ = 71.36°, rel. 10; 2θ = 79.31°, rel. 17; 2θ = 84.59°, rel. 2; 2θ = 86.56°, rel. 6; 2θ = 86.66°, rel. 12; 2θ = 88.34°, rel. 8; 2θ = 88.47°, rel. 5

Structural model:
```
data_Zn2Fe
_cell_length_a 4.266
_cell_length_b 7.940
_cell_length_c 4.577
_cell_angle_alpha 90.00
_cell_angle_beta 90.00
_cell_angle_gamma 90.00
_symmetry_space_group_name_H-M 'P 1'
_symmetry_Int_Tables_number 1
loop_
_symmetry_equiv_pos_as_xyz
'x,y,z'
loop_
_atom_site_label
_atom_site_type_symbol
_atom_site_fract_x
_atom_site_fract_y
_atom_site_fract_z
_atom_site_occupancy
Zn1 Zn 0.250 0.077 0.088 1
Zn2 Zn 0.250 0.250 0.571 1
Zn3 Zn 0.250 0.423 0.088 1
Zn4 Zn 0.250 0.750 0.078 1
Zn5 Zn 0.750 0.250 0.922 1
Zn6 Zn 0.750 0.577 0.912 1
Zn7 Zn 0.750 0.750 0.429 1
Zn8 Zn 0.750 0.923 0.912 1
Fe1 Fe 0.250 0.580 0.572 1
Fe2 Fe 0.250 0.920 0.572 1
Fe3 Fe 0.750 0.080 0.428 1
Fe4 Fe 0.750 0.420 0.428 1
```



(8)
Calculated powder X-ray diffraction pattern of Zn4Fe3 for CuKα, from a structure optimized by DFT (GGA-PBE).

Principal peaks in the range 2θ = 15–90°, by angle:
2θ = 33.30°, rel. 1; 2θ = 39.66°, rel. 25; 2θ = 42.47°, rel. 27; 2θ = 45.23°, rel. 100; 2θ = 59.50°, rel. 14; 2θ = 71.96°, rel. 15; 2θ = 79.65°, rel. 17; 2θ = 85.44°, rel. 2; 2θ = 87.29°, rel. 17; 2θ = 89.20°, rel. 12

Structural model:
```
data_Zn4Fe3
_cell_length_a 6.943
_cell_length_b 6.943
_cell_length_c 4.257
_cell_angle_alpha 90.00
_cell_angle_beta 90.00
_cell_angle_gamma 120.00
_symmetry_space_group_name_H-M 'P 1'
_symmetry_Int_Tables_number 1
loop_
_symmetry_equiv_pos_as_xyz
'x,y,z'
loop_
_atom_site_label
_atom_site_type_symbol
_atom_site_fract_x
_atom_site_fract_y
_atom_site_fract_z
_atom_site_occupancy
Zn1 Zn 0.049 0.803 0.250 1
Zn2 Zn 0.197 0.246 0.250 1
Zn3 Zn 0.246 0.049 0.750 1
Zn4 Zn 0.333 0.667 0.250 1
Zn5 Zn 0.667 0.333 0.750 1
Zn6 Zn 0.754 0.951 0.250 1
Zn7 Zn 0.803 0.754 0.750 1
Zn8 Zn 0.951 0.197 0.750 1
Fe1 Fe 0.101 0.616 0.750 1
Fe2 Fe 0.384 0.484 0.750 1
Fe3 Fe 0.484 0.101 0.250 1
Fe4 Fe 0.516 0.899 0.750 1
Fe5 Fe 0.616 0.516 0.250 1
Fe6 Fe 0.899 0.384 0.250 1
```